(1)
This entry pairs a crystal structure of Tm6Pd3Pt with its computed X-ray powder pattern. Radiation: Cu Kα (weighted mean of Kα1 and Kα2). Structure: DFT lattice parameters and positions (GGA-PBE).

Cell and atoms:
```
data_Tm6Pd3Pt
_chemical_formula_sum 'Tm12 Pd6 Pt2'
_symmetry_space_group_name_H-M 'P 1 21/c 1'
_symmetry_Int_Tables_number 14
_cell_length_a 6.7883
_cell_length_b 7.4272
_cell_length_c 12.0085
_cell_angle_alpha 90.00
_cell_angle_beta 123.63
_cell_angle_gamma 90.00
loop_
_symmetry_equiv_pos_as_xyz
'x,y,z'
'-x,-y,-z'
'-x,y+1/2,-z+1/2'
'x,-y+1/2,z+1/2'
loop_
_atom_site_label
_atom_site_type_symbol
_atom_site_fract_x
_atom_site_fract_y
_atom_site_fract_z
_atom_site_occupancy
Tm1 Tm 0.0773 0.0519 0.2495 1
Tm2 Tm 0.2346 0.6746 0.0751 1
Tm3 Tm 0.4093 0.1723 0.0700 1
Pd1 Pd 0.3098 0.1192 0.7551 1
Pd2 Pd 0.5000 0.0000 0.5000 1
Pt1 Pt 0.0000 0.0000 0.0000 1
```

Principal peaks in the range 2θ = 10–90°, by intensity:
hkl 1 0 -4, d = 2.976 Å, 30.03°, I = 100
hkl 2 1 -2, d = 3.088 Å, 28.91°, I = 98
hkl 1 3 -1, d = 2.326 Å, 38.71°, I = 92
hkl 2 1 -1, d = 2.960 Å, 30.19°, I = 76
hkl 3 1 -5, d = 1.977 Å, 45.91°, I = 68
hkl 3 1 -1, d = 1.996 Å, 45.45°, I = 60

---

(2)
This entry pairs a crystal structure of Tm2Pd4Pt with its computed X-ray powder pattern. Radiation: Cu Kα (weighted mean of Kα1 and Kα2). Structure: DFT lattice parameters and positions (GGA-PBE).

Cell and atoms:
```
data_Tm2Pd4Pt
_chemical_formula_sum 'Tm8 Pd16 Pt4'
_symmetry_space_group_name_H-M 'C m c e'
_symmetry_Int_Tables_number 64
_symmetry_space_group_name_Hall '-C 2ac 2'
_cell_length_a 10.0210
_cell_length_b 5.4605
_cell_length_c 9.5355
_cell_angle_alpha 90.00
_cell_angle_beta 90.00
_cell_angle_gamma 90.00
loop_
_atom_site_label
_atom_site_type_symbol
_atom_site_fract_x
_atom_site_fract_y
_atom_site_fract_z
_atom_site_occupancy
Tm1 Tm 0.1558 0.0000 0.0000 1
Pd1 Pd 0.0000 0.1509 0.2294 1
Pd2 Pd 0.2500 0.1590 0.7500 1
Pt1 Pt 0.0000 0.0000 0.5000 1
```

Principal peaks in the range 2θ = 10–90°, by intensity:
hkl 3 1 1, d = 2.730 Å, 32.80°, I = 100
hkl 3 1 3, d = 2.122 Å, 42.61°, I = 55
hkl 0 2 2, d = 2.369 Å, 37.98°, I = 55
hkl 0 0 4, d = 2.384 Å, 37.74°, I = 52
hkl 2 2 1, d = 2.325 Å, 38.73°, I = 36
hkl 3 3 1, d = 1.576 Å, 58.56°, I = 29

---

(3)
This entry pairs a crystal structure of TmPd5Pt5 with its computed X-ray powder pattern. Radiation: Cu Kα (weighted mean of Kα1 and Kα2). Structure: DFT lattice parameters and positions (GGA-PBE).

Cell and atoms:
```
data_TmPd5Pt5
_chemical_formula_sum 'Tm1 Pd5 Pt5'
_symmetry_space_group_name_H-M 'P -1'
_symmetry_Int_Tables_number 2
_cell_length_a 4.6294
_cell_length_b 5.8966
_cell_length_c 7.1917
_cell_angle_alpha 82.37
_cell_angle_beta 75.88
_cell_angle_gamma 86.02
loop_
_symmetry_equiv_pos_as_xyz
'x,y,z'
'-x,-y,-z'
loop_
_atom_site_label
_atom_site_type_symbol
_atom_site_fract_x
_atom_site_fract_y
_atom_site_fract_z
_atom_site_occupancy
Tm1 Tm 0.0000 0.0000 0.0000 1
Pd1 Pd 0.0000 0.5000 0.0000 1
Pd2 Pd 0.0244 0.8174 0.6577 1
Pd3 Pd 0.4910 0.2630 0.0313 1
Pt1 Pt 0.0479 0.6567 0.3205 1
Pt2 Pt 0.4968 0.0758 0.6737 1
Pt3 Pt 0.5000 0.5000 0.5000 1
```

Principal peaks in the range 2θ = 10–90°, by intensity:
hkl 1 -2 1, d = 2.293 Å, 39.30°, I = 100
hkl 2 0 0, d = 2.243 Å, 40.20°, I = 57
hkl 1 2 -1, d = 2.187 Å, 41.28°, I = 56
hkl 0 0 3, d = 2.308 Å, 39.03°, I = 36
hkl -1 2 2, d = 1.949 Å, 46.59°, I = 20
hkl -1 1 2, d = 2.331 Å, 38.63°, I = 19